Simulated powder diffractogram of TlNi3SnS2 for Cu Kα, from a DFT-relaxed cell (PBE, OQMD).
Peak positions follow from Bragg's law for the DFT cell and can differ from measured ones.

Atomic structure:
Unit cell a=5.5497 b=5.5497 c=13.4981 alpha=90.00 beta=90.00 gamma=120.00
Space group R-3m (No. 166, hexagonal axes)
Symmetry-distinct sites (fractional):
1 Tl 0.0000 0.0000 0.0000 x3
2 Ni 0.0000 0.5000 0.0000 x9
3 Sn 0.0000 0.0000 0.5000 x3
4 S 0.0000 0.0000 0.2244 x6

Most intense lines, 2θ = 10–80°, by angle:
d [Å]	two_theta	I/Imax	hkl
4.499	19.73	57	0 0 3
3.915	22.71	70	0 1 2
2.775	32.26	88	1 1 0
2.762	32.42	80	1 0 4
2.366	38.03	44	0 2 1
2.264	39.82	100	2 0 2
2.250	40.08	36	0 0 6
1.957	46.39	100	0 2 4
1.600	57.59	49	3 0 0
1.387	67.51	33	2 2 0